The following is a simulated powder diffraction line list of Mg5Si9. It was derived from a crystal structure in Alexandria, relaxed with PBE, using a wavelength of 1.5418 Å.

Cell and atoms:
```
data_Mg5Si9
_cell_length_a 6.0632
_cell_length_b 6.9818
_cell_length_c 13.6122
_cell_angle_alpha 93.88
_cell_angle_beta 102.53
_cell_angle_gamma 111.00
_space_group_name_H-M_alt 'P 1'
_space_group_IT_number 1
loop_
_space_group_symop_operation_xyz
'x,y,z'
loop_
_atom_site_label
_atom_site_type_symbol
_atom_site_fract_x
_atom_site_fract_y
_atom_site_fract_z
_atom_site_occupancy
Mg1 Mg 0.0000 0.0000 0.0000 1
Mg2 Mg 0.0010 0.5346 0.8414 1
Mg3 Mg 0.2139 0.4916 0.4718 1
Mg4 Mg 0.4787 0.2274 0.3732 1
Mg5 Mg 0.5013 0.7850 0.3529 1
Mg6 Mg 0.6244 0.7507 0.6609 1
Mg7 Mg 0.6765 0.2984 0.6235 1
Mg8 Mg 0.9013 0.4938 0.0784 1
Mg9 Mg 0.9543 0.0554 0.5247 1
Mg10 Mg 0.9812 0.7275 0.3390 1
Si1 Si 0.1349 0.4193 0.2628 1
Si2 Si 0.1374 0.7620 0.6245 1
Si3 Si 0.1602 0.4303 0.6597 1
Si4 Si 0.1940 0.9798 0.7844 1
Si5 Si 0.2010 0.9204 0.1935 1
Si6 Si 0.2779 0.4164 0.0115 1
Si7 Si 0.3409 0.7956 0.0605 1
Si8 Si 0.3670 0.9467 0.5100 1
Si9 Si 0.4575 0.3355 0.7677 1
Si10 Si 0.4907 0.4905 0.1916 1
Si11 Si 0.4980 0.1173 0.9926 1
Si12 Si 0.5485 0.8844 0.8671 1
Si13 Si 0.5821 0.5711 0.9221 1
Si14 Si 0.5944 0.1909 0.1830 1
Si15 Si 0.7490 0.8426 0.1673 1
Si16 Si 0.7514 0.6110 0.4941 1
Si17 Si 0.8698 0.0993 0.7989 1
Si18 Si 0.8734 0.1140 0.3146 1
```

Top 12 peaks for 2θ from 10° to 80°, by angle:
| d [Å] | 2θ (°) | intensity |
| --- | --- | --- |
| 2.932 | 30.49 | 342 |
| 2.723 | 32.90 | 353 |
| 2.577 | 34.81 | 369 |
| 2.535 | 35.41 | 541 |
| 2.507 | 35.82 | 671 |
| 2.467 | 36.42 | 693 |
| 2.431 | 36.97 | 650 |
| 2.400 | 37.47 | 566 |
| 2.353 | 38.25 | 1000 |
| 2.320 | 38.82 | 409 |
| 2.303 | 39.12 | 537 |
| 2.242 | 40.23 | 378 |